For TeMo3N2O12, a structure optimized by DFT (GGA+U) gives the theoretical X-ray diffraction stick pattern in this record (Cu Kα X-rays).

The 10 most intense peaks (10° ≤ 2θ ≤ 90°), sorted by position:
2θ (°)  intensity  index
13.67  100  1 0 0
15.09  25  0 0 2
15.62  20  1 0 1
28.29  49  1 1 2
28.58  38  2 0 1
30.45  21  0 0 4
31.54  27  2 0 2
33.51  11  1 0 4
48.68  14  2 2 0
60.40  14  1 3 4

Structure:
```
data_TeMo3N2O12
_symmetry_space_group_name_H-M 'P 63'
_symmetry_Int_Tables_number 173
_symmetry_space_group_name_Hall 'P 6c'
_cell_length_a 7.4815
_cell_length_b 7.4815
_cell_length_c 11.7428
_cell_angle_alpha 90.00
_cell_angle_beta 90.00
_cell_angle_gamma 120.00
loop_
_atom_site_label
_atom_site_fract_x
_atom_site_fract_y
_atom_site_fract_z
_atom_site_occupancy
Te1 0.0000 0.0000 0.0000 1
Mo1 0.1150 0.3177 0.2502 1
N1 0.3333 0.6667 0.5801 1
N2 0.3333 0.6667 0.9654 1
O1 0.0994 0.5454 0.2498 1
O2 0.1243 0.8686 0.0902 1
O3 0.1248 0.8682 0.4106 1
O4 0.1286 0.2798 0.7505 1
```